Entry 1:
Calculated X-ray diffraction stick pattern of Ce6Ge3O for Cu Ka, from a structure optimized by DFT (PBE).
Neutral-atom scattering factors, no anomalous dispersion.

Crystal structure
Unit cell a=6.0959 b=7.8269 c=11.7941 alpha=90.00 beta=120.07 gamma=90.00
Space group P2_1/c (No. 14)
One atom of each set of equivalent atoms:
Ce 0.0827 0.1441 0.4485 (multiplicity 4)
Ce 0.3360 0.7055 0.4439 (multiplicity 4)
Ce 0.3982 0.0313 0.2696 (multiplicity 4)
Ge 0.0000 0.0000 0.0000 (multiplicity 2)
Ge 0.1648 0.1200 0.7620 (multiplicity 4)
O 0.5000 0.0000 0.5000 (multiplicity 2)

Main lines, sorted by position (2θ = 15–90°):
2θ 28.57, I = 67, (1 2 -2)
2θ 28.75, I = 59, (0 2 2)
2θ 29.84, I = 57, (1 0 2)
2θ 31.50, I = 56, (2 1 -2)
2θ 32.00, I = 47, (1 1 2)
2θ 32.21, I = 36, (1 2 1)
2θ 32.48, I = 100, (1 1 -4)
2θ 32.88, I = 80, (2 1 -3)
2θ 34.95, I = 36, (0 2 3)
2θ 35.17, I = 40, (0 0 4)
2θ 35.93, I = 45, (2 1 0)
2θ 37.50, I = 81, (1 3 -1)

***

Entry 2:
Calculated X-ray diffraction stick pattern of Ce3GeO for Cu Ka, from a structure optimized by DFT (PBE).
Neutral-atom scattering factors, no anomalous dispersion.

Crystal structure
Unit cell a=9.4411 b=12.2583 c=3.8628 alpha=90.00 beta=90.00 gamma=90.00
Space group Cmmm (No. 65)
One atom of each set of equivalent atoms:
Ce 0.0000 0.1889 0.0000 (multiplicity 4)
Ce 0.1967 0.3768 0.5000 (multiplicity 8)
Ge 0.0000 0.0000 0.5000 (multiplicity 2)
Ge 0.0000 0.5000 0.0000 (multiplicity 2)
O 0.2500 0.2500 0.0000 (multiplicity 4)

Main lines, sorted by position (2θ = 15–90°):
2θ 29.30, I = 44, (3 1 0)
2θ 29.89, I = 100, (2 0 1)
2θ 33.30, I = 99, (1 3 1)
2θ 34.91, I = 45, (2 4 0)
2θ 36.02, I = 43, (3 3 0)
2θ 37.46, I = 42, (0 4 1)
2θ 37.59, I = 34, (3 1 1)
2θ 42.23, I = 35, (2 4 1)
2θ 47.05, I = 32, (0 0 2)
2θ 58.95, I = 38, (5 3 1)
2θ 59.90, I = 22, (2 4 2)
2θ 65.58, I = 30, (0 8 1)

***

Entry 3:
Calculated X-ray diffraction stick pattern of CePmGe2O8 for Cu Ka, from a structure optimized by DFT (PBE).
Neutral-atom scattering factors, no anomalous dispersion.

Crystal structure
Unit cell a=5.1615 b=5.1615 c=11.4146 alpha=90.00 beta=90.00 gamma=90.00
Space group I-4 (No. 82)
One atom of each set of equivalent atoms:
Ce 0.0000 0.0000 0.0000 (multiplicity 2)
Pm 0.0000 0.5000 0.7500 (multiplicity 2)
Ge 0.0000 0.0000 0.5000 (multiplicity 2)
Ge 0.0000 0.5000 0.2500 (multiplicity 2)
O 0.1483 0.7538 0.1671 (multiplicity 8)
O 0.1572 0.2547 0.5789 (multiplicity 8)

Main lines, sorted by position (2θ = 15–90°):
2θ 18.87, I = 11, (1 0 1)
2θ 29.04, I = 100, (1 1 2)
2θ 31.35, I = 15, (0 0 4)
2θ 34.76, I = 20, (2 0 0)
2θ 39.84, I = 7, (2 1 1)
2θ 47.50, I = 30, (2 0 4)
2θ 49.98, I = 13, (2 2 0)
2θ 54.38, I = 17, (1 1 6)
2θ 58.85, I = 29, (1 3 2)
2θ 60.19, I = 12, (2 2 4)
2θ 76.25, I = 7, (2 0 8)
2θ 76.97, I = 12, (3 1 6)

***

Entry 4:
Calculated X-ray diffraction stick pattern of Ce2Pr4Ge3O2 for Cu Ka, from a structure optimized by DFT (PBE).
Neutral-atom scattering factors, no anomalous dispersion.

Crystal structure
Unit cell a=4.7708 b=4.7708 c=24.6533 alpha=90.00 beta=90.00 gamma=90.00
Space group I4/mmm (No. 139)
One atom of each set of equivalent atoms:
Ce 0.0000 0.0000 0.1988 (multiplicity 4)
Pr 0.0000 0.5000 0.0799 (multiplicity 8)
Ge 0.0000 0.0000 0.3240 (multiplicity 4)
Ge 0.0000 0.0000 0.5000 (multiplicity 2)
O 0.0000 0.0000 0.1057 (multiplicity 4)

Main lines, sorted by position (2θ = 15–90°):
2θ 21.57, I = 21, (0 0 6)
2θ 27.41, I = 71, (1 1 2)
2θ 28.97, I = 21, (0 0 8)
2θ 30.20, I = 20, (1 1 4)
2θ 31.58, I = 17, (1 0 7)
2θ 34.40, I = 100, (1 1 6)
2θ 37.71, I = 65, (2 0 0)
2θ 48.25, I = 21, (2 0 8)
2θ 52.13, I = 14, (1 1 12)
2θ 54.39, I = 22, (2 2 0)
2θ 61.97, I = 14, (3 1 2)
2θ 65.95, I = 37, (3 1 6)

***

> Number 2 is which compound?

Ce3GeO